Entry 1:
For Hf2UFe9, a DFT-relaxed cell (GGA-PBE, Alexandria) gives the calculated X-ray powder pattern in this record (Cu Kα X-rays).

a b c (Å): 4.888 4.888 16.143
angles (deg): 90.00 90.00 120.00
Fractional positions:
Hf 0.333 0.667 0.037
Hf 0.333 0.667 0.463
Hf 0.667 0.333 0.537
Hf 0.667 0.333 0.963
U 0.333 0.667 0.250
U 0.667 0.333 0.750
Fe 0.000 0.000 0.000
Fe 0.000 0.000 0.250
Fe 0.000 0.000 0.500
Fe 0.000 0.000 0.750
Fe 0.168 0.336 0.622
Fe 0.168 0.336 0.878
Fe 0.168 0.832 0.622
Fe 0.168 0.832 0.878
Fe 0.333 0.667 0.750
Fe 0.336 0.168 0.122
Fe 0.336 0.168 0.378
Fe 0.664 0.832 0.622
Fe 0.664 0.832 0.878
Fe 0.667 0.333 0.250
Fe 0.832 0.168 0.122
Fe 0.832 0.168 0.378
Fe 0.832 0.664 0.122
Fe 0.832 0.664 0.378

Most intense lines, 2θ = 15–90°, by intensity:
| Position (°2θ) | d_spacing | I/Imax |
| --- | --- | --- |
| 43.3 | 2.091 | 100 |
| 35.0 | 2.567 | 81 |
| 36.8 | 2.444 | 60 |
| 43.1 | 2.099 | 34 |
| 65.1 | 1.434 | 27 |
| 70.7 | 1.332 | 23 |
| 21.7 | 4.095 | 21 |
| 78.2 | 1.222 | 19 |
| 30.6 | 2.921 | 16 |
| 68.6 | 1.368 | 16 |
| 42.7 | 2.117 | 14 |
| 69.8 | 1.347 | 14 |

=====

Entry 2:
For LaSm2UN4, a DFT-relaxed cell (GGA-PBE, Alexandria) gives the calculated X-ray powder pattern in this record (Cu Kα X-rays).

a b c (Å): 6.212 6.212 6.212
angles (deg): 131.93 131.93 70.33
Fractional positions:
La 0.000 0.000 0.000
Sm 0.500 0.500 0.000
Sm 0.750 0.250 0.500
U 0.250 0.750 0.500
N 0.033 0.533 0.500
N 0.254 0.254 0.000
N 0.467 0.967 0.500
N 0.746 0.746 0.000

Most intense lines, 2θ = 15–90°, by intensity:
| Position (°2θ) | d_spacing | I/Imax |
| --- | --- | --- |
| 30.6 | 2.925 | 100 |
| 51.0 | 1.791 | 49 |
| 35.5 | 2.530 | 47 |
| 60.7 | 1.526 | 30 |
| 35.3 | 2.539 | 23 |
| 63.6 | 1.463 | 16 |
| 60.5 | 1.530 | 16 |
| 85.9 | 1.132 | 15 |
| 83.0 | 1.163 | 14 |
| 85.6 | 1.135 | 7 |
| 83.2 | 1.161 | 7 |
| 19.6 | 4.529 | 5 |

=====

Entry 3:
For Mg3CuPd6, a DFT-relaxed cell (GGA-PBE, Alexandria) gives the calculated X-ray powder pattern in this record (Cu Kα X-rays).

a b c (Å): 7.286 7.286 7.286
angles (deg): 106.78 106.78 106.78
Fractional positions:
Mg 0.044 0.295 0.407
Mg 0.295 0.407 0.044
Mg 0.407 0.044 0.295
Mg 0.593 0.956 0.705
Mg 0.705 0.593 0.956
Mg 0.956 0.705 0.593
Cu 0.000 0.000 0.000
Cu 0.500 0.500 0.500
Pd 0.014 0.897 0.318
Pd 0.103 0.682 0.986
Pd 0.233 0.662 0.378
Pd 0.318 0.014 0.897
Pd 0.338 0.622 0.767
Pd 0.378 0.233 0.662
Pd 0.622 0.767 0.338
Pd 0.662 0.378 0.233
Pd 0.682 0.986 0.103
Pd 0.767 0.338 0.622
Pd 0.897 0.318 0.014
Pd 0.986 0.103 0.682

Most intense lines, 2θ = 15–90°, by intensity:
| Position (°2θ) | d_spacing | I/Imax |
| --- | --- | --- |
| 40.8 | 2.210 | 100 |
| 36.3 | 2.477 | 39 |
| 42.5 | 2.125 | 39 |
| 23.4 | 3.802 | 28 |
| 45.4 | 1.997 | 26 |
| 25.7 | 3.469 | 25 |
| 83.0 | 1.163 | 17 |
| 38.9 | 2.318 | 14 |
| 53.3 | 1.719 | 14 |
| 67.1 | 1.395 | 14 |
| 74.3 | 1.276 | 13 |
| 79.6 | 1.205 | 10 |

=====

Entry 4:
For Mg3Ir, a DFT-relaxed cell (GGA-PBE, Alexandria) gives the calculated X-ray powder pattern in this record (Cu Kα X-rays).

a b c (Å): 7.915 7.915 8.271
angles (deg): 90.00 90.00 120.00
Fractional positions:
Mg 0.000 0.000 0.000
Mg 0.000 0.000 0.500
Mg 0.000 0.286 0.263
Mg 0.000 0.372 0.605
Mg 0.000 0.628 0.105
Mg 0.000 0.714 0.763
Mg 0.286 0.000 0.263
Mg 0.286 0.286 0.763
Mg 0.333 0.667 0.391
Mg 0.333 0.667 0.891
Mg 0.372 0.000 0.605
Mg 0.372 0.372 0.105
Mg 0.628 0.000 0.105
Mg 0.628 0.628 0.605
Mg 0.667 0.333 0.391
Mg 0.667 0.333 0.891
Mg 0.714 0.000 0.763
Mg 0.714 0.714 0.263
Ir 0.000 0.328 0.934
Ir 0.000 0.672 0.434
Ir 0.328 0.000 0.934
Ir 0.328 0.328 0.434
Ir 0.672 0.000 0.434
Ir 0.672 0.672 0.934

Most intense lines, 2θ = 15–90°, by intensity:
| Position (°2θ) | d_spacing | I/Imax |
| --- | --- | --- |
| 24.9 | 3.570 | 100 |
| 39.9 | 2.262 | 61 |
| 39.4 | 2.285 | 48 |
| 21.5 | 4.135 | 38 |
| 45.3 | 2.000 | 35 |
| 22.5 | 3.958 | 27 |
| 47.2 | 1.925 | 20 |
| 57.3 | 1.608 | 19 |
| 63.2 | 1.472 | 18 |
| 71.8 | 1.315 | 18 |
| 60.4 | 1.533 | 14 |
| 31.3 | 2.859 | 10 |

=====

Entry 5:
For Pm2Y4TmMg, a DFT-relaxed cell (GGA-PBE, Alexandria) gives the calculated X-ray powder pattern in this record (Cu Kα X-rays).

a b c (Å): 5.006 4.994 10.096
angles (deg): 90.00 90.05 90.00
Fractional positions:
Pm 0.000 0.000 0.000
Pm 0.500 0.500 0.500
Y 0.000 0.500 0.251
Y 0.000 0.500 0.749
Y 0.499 0.000 0.250
Y 0.501 0.000 0.750
Tm 0.500 0.500 0.000
Mg 0.000 0.000 0.500

Most intense lines, 2θ = 15–90°, by intensity:
| Position (°2θ) | d_spacing | I/Imax |
| --- | --- | --- |
| 30.9 | 2.896 | 100 |
| 35.9 | 2.500 | 33 |
| 51.4 | 1.776 | 24 |
| 35.6 | 2.524 | 17 |
| 61.0 | 1.519 | 14 |
| 61.4 | 1.510 | 14 |
| 61.5 | 1.507 | 14 |
| 64.3 | 1.448 | 12 |
| 51.7 | 1.768 | 12 |
| 83.9 | 1.153 | 6 |
| 84.0 | 1.152 | 6 |
| 84.4 | 1.148 | 6 |

=====

Entry 6:
For TlGaGeO4, a DFT-relaxed cell (GGA-PBE, Alexandria) gives the calculated X-ray powder pattern in this record (Cu Kα X-rays).

a b c (Å): 5.368 5.503 7.687
angles (deg): 90.00 90.46 90.00
Fractional positions:
Tl 0.239 0.250 0.137
Tl 0.761 0.750 0.863
Ga 0.178 0.750 0.477
Ga 0.822 0.250 0.523
Ge 0.338 0.250 0.636
Ge 0.662 0.750 0.364
O 0.104 0.015 0.648
O 0.104 0.485 0.648
O 0.373 0.750 0.252
O 0.469 0.250 0.424
O 0.531 0.750 0.576
O 0.627 0.250 0.748
O 0.896 0.515 0.352
O 0.896 0.985 0.352

Most intense lines, 2θ = 15–90°, by intensity:
| Position (°2θ) | d_spacing | I/Imax |
| --- | --- | --- |
| 28.3 | 3.151 | 100 |
| 23.1 | 3.843 | 74 |
| 26.0 | 3.429 | 54 |
| 32.5 | 2.752 | 54 |
| 28.5 | 3.137 | 51 |
| 44.5 | 2.037 | 39 |
| 39.1 | 2.306 | 34 |
| 28.7 | 3.113 | 32 |
| 47.3 | 1.921 | 30 |
| 53.2 | 1.723 | 29 |
| 43.8 | 2.069 | 27 |
| 33.4 | 2.684 | 26 |

=====

Entry 7:
For Tb2Pr2SmY, a DFT-relaxed cell (GGA-PBE, Alexandria) gives the calculated X-ray powder pattern in this record (Cu Kα X-rays).

a b c (Å): 7.114 5.724 9.909
angles (deg): 90.00 90.00 90.00
Fractional positions:
Tb 0.250 0.000 0.164
Tb 0.250 0.500 0.668
Tb 0.750 0.000 0.836
Tb 0.750 0.500 0.332
Pr 0.000 0.500 0.000
Pr 0.250 0.000 0.825
Pr 0.500 0.500 0.000
Pr 0.750 0.000 0.175
Sm 0.250 0.500 0.340
Sm 0.750 0.500 0.660
Y 0.000 0.000 0.500
Y 0.500 0.000 0.500

Most intense lines, 2θ = 15–90°, by intensity:
| Position (°2θ) | d_spacing | I/Imax |
| --- | --- | --- |
| 31.3 | 2.861 | 100 |
| 30.9 | 2.890 | 84 |
| 55.4 | 1.657 | 32 |
| 44.6 | 2.033 | 31 |
| 61.4 | 1.510 | 29 |
| 40.5 | 2.229 | 20 |
| 55.6 | 1.652 | 19 |
| 79.1 | 1.210 | 14 |
| 73.9 | 1.282 | 13 |
| 65.2 | 1.431 | 12 |
| 25.0 | 3.557 | 12 |
| 87.5 | 1.115 | 11 |

=====

Entry 8:
For Cu2TcBr, a DFT-relaxed cell (GGA-PBE, Alexandria) gives the calculated X-ray powder pattern in this record (Cu Kα X-rays).

a b c (Å): 2.761 2.945 7.988
angles (deg): 90.00 90.16 90.00
Fractional positions:
Cu 0.003 0.000 0.217
Cu 0.997 0.000 0.783
Tc 0.500 0.500 0.000
Br 0.000 0.500 0.500

Most intense lines, 2θ = 15–90°, by intensity:
| Position (°2θ) | d_spacing | I/Imax |
| --- | --- | --- |
| 38.0 | 2.370 | 100 |
| 46.5 | 1.953 | 51 |
| 34.4 | 2.609 | 33 |
| 45.4 | 1.997 | 24 |
| 47.4 | 1.919 | 19 |
| 47.5 | 1.914 | 18 |
| 45.0 | 2.014 | 16 |
| 32.4 | 2.761 | 12 |
| 76.1 | 1.250 | 12 |
| 75.9 | 1.253 | 12 |
| 63.1 | 1.473 | 11 |
| 80.6 | 1.192 | 10 |